Structure and calculated powder X-ray diffraction pattern of TbPr6Dy2 (DFT lattice parameters and positions (PBE); Cu Kα, 1.54184 Å).

Principal peaks in the range 2θ from 5° to 70°, low angle first:
2theta, I/Imax
29.41, 61.9
29.93, 48.7
30.11, 59.0
31.07, 100.0
36.44, 32.6
37.03, 29.1
48.92, 14.0
50.31, 12.7
53.84, 22.4
54.38, 21.7

Structural model:
a b c (Å): 10.2310 10.2310 6.3015
angles (deg): 95.11 95.11 71.41
Fractional coordinates of all 18 atoms:
Tb  0.1009  0.8991  0.7500
Tb  0.8991  0.1009  0.2500
Pr  0.0209  0.7415  0.1808
Pr  0.0754  0.3551  0.3472
Pr  0.2585  0.9791  0.3192
Pr  0.3122  0.5914  0.4859
Pr  0.3551  0.0754  0.8472
Pr  0.4086  0.6878  0.0141
Pr  0.5914  0.3122  0.9859
Pr  0.6449  0.9246  0.1528
Pr  0.6878  0.4086  0.5141
Pr  0.7415  0.0209  0.6808
Pr  0.9246  0.6449  0.6528
Pr  0.9791  0.2585  0.8192
Dy  0.2326  0.4343  0.9162
Dy  0.4343  0.2326  0.4162
Dy  0.5657  0.7674  0.5838
Dy  0.7674  0.5657  0.0838